Structure and calculated powder XRD pattern of CaThB12 (the PBE geometry in Alexandria; Cu Kα (λ = 1.5418 Å)).
No peak broadening, texture or thermal motion is included.

Structural model:
Cell: 4.1192 4.1192 8.2747 Å, 90.00 90.00 90.00°
Fractional coordinates of all 14 atoms:
Ca  0.0000  0.0000  0.0000
Th  0.0000  0.0000  0.5000
B  0.1992  0.5000  0.2502
B  0.1992  0.5000  0.7498
B  0.5000  0.1992  0.2502
B  0.5000  0.1992  0.7498
B  0.5000  0.5000  0.1001
B  0.5000  0.5000  0.4010
B  0.5000  0.5000  0.5990
B  0.5000  0.5000  0.8999
B  0.5000  0.8008  0.2502
B  0.5000  0.8008  0.7498
B  0.8008  0.5000  0.2502
B  0.8008  0.5000  0.7498

Most intense lines, 2θ = 5–70°, in order of rising 2θ:
(0 0 1), 10.69 deg, I 737; (1 0 0), 21.54 deg, I 609; (1 0 1), 24.13 deg, I 495; (1 1 0), 30.65 deg, I 1000; (1 1 1), 32.59 deg, I 238; (1 1 2), 37.77 deg, I 429; (1 0 3), 39.31 deg, I 146; (1 1 3), 45.33 deg, I 201; (1 0 4), 49.29 deg, I 167; (2 1 0), 49.45 deg, I 331; (2 1 2), 54.53 deg, I 178; (2 1 4), 68.16 deg, I 175